# Ce4Ni3Bi8
Theoretical powder diffractogram, λ = 1.5418 Å (Cu Kα). Input: a crystal structure in the Materials Project, relaxed with PBE.
Kinematic intensities with the Lorentz-polarization factor, no thermal factor.

Structural model:
Cell lengths 4.5880, 4.5880, 19.1657 Å; angles 90.00, 90.00, 90.00 degrees
Fractional coordinates of all 15 atoms:
Ce1 0.0000 0.5000 0.1105
Ce2 0.0000 0.5000 0.6126
Ce3 0.5000 0.0000 0.3874
Ce4 0.5000 0.0000 0.8895
Ni1 0.0000 0.0000 0.5000
Ni2 0.5000 0.5000 0.0000
Ni3 0.5000 0.5000 0.5000
Bi1 0.0000 0.0000 0.2490
Bi2 0.0000 0.0000 0.7510
Bi3 0.0000 0.5000 0.4247
Bi4 0.0000 0.5000 0.9290
Bi5 0.5000 0.0000 0.0710
Bi6 0.5000 0.0000 0.5753
Bi7 0.5000 0.5000 0.2496
Bi8 0.5000 0.5000 0.7504

Top 10 peaks for 2θ = 10–90°, in order of falling intensity:
| 2θ/deg | I_rel |
| --- | --- |
| 33.35 | 100 |
| 29.06 | 68 |
| 39.27 | 60 |
| 27.93 | 35 |
| 48.88 | 31 |
| 67.45 | 27 |
| 47.16 | 21 |
| 26.91 | 21 |
| 56.75 | 21 |
| 34.20 | 19 |

=====

# Tb11In9Pd4
Theoretical powder diffractogram, λ = 1.5418 Å (Cu Kα). Input: a crystal structure in the Materials Project, relaxed with PBE.
Kinematic intensities with the Lorentz-polarization factor, no thermal factor.

Structural model:
Cell lengths 13.2084, 13.2084, 3.6867 Å; angles 90.00, 90.00, 110.63 degrees
Fractional coordinates of all 24 atoms:
Tb1 0.0000 0.0000 0.0000
Tb2 0.0713 0.4179 0.0000
Tb3 0.1582 0.8418 0.0000
Tb4 0.3086 0.3086 0.0000
Tb5 0.3717 0.6283 0.0000
Tb6 0.4179 0.0713 0.0000
Tb7 0.5821 0.9287 0.0000
Tb8 0.6283 0.3717 0.0000
Tb9 0.6914 0.6914 0.0000
Tb10 0.8418 0.1582 0.0000
Tb11 0.9287 0.5821 0.0000
In1 0.0729 0.2171 0.5000
In2 0.1577 0.6336 0.5000
In3 0.2171 0.0729 0.5000
In4 0.3664 0.8423 0.5000
In5 0.5000 0.5000 0.5000
In6 0.6336 0.1577 0.5000
In7 0.7829 0.9271 0.5000
In8 0.8423 0.3664 0.5000
In9 0.9271 0.7829 0.5000
Pd1 0.2483 0.4510 0.5000
Pd2 0.4510 0.2483 0.5000
Pd3 0.5490 0.7517 0.5000
Pd4 0.7517 0.5490 0.5000

Top 10 peaks for 2θ = 10–90°, in order of falling intensity:
| 2θ/deg | I_rel |
| --- | --- |
| 34.06 | 100 |
| 34.73 | 91 |
| 34.39 | 77 |
| 49.45 | 31 |
| 61.61 | 30 |
| 36.81 | 29 |
| 32.59 | 23 |
| 31.66 | 21 |
| 35.12 | 19 |
| 36.66 | 19 |

=====

# SmYSe2
Theoretical powder diffractogram, λ = 1.5418 Å (Cu Kα). Input: a crystal structure in the Materials Project, relaxed with PBE.
Kinematic intensities with the Lorentz-polarization factor, no thermal factor.

Structural model:
Cell lengths 7.2412, 7.2412, 7.2412 Å; angles 32.89, 32.89, 32.89 degrees
Fractional coordinates of all 4 atoms:
Sm1 0.0000 0.0000 0.0000
Y1 0.5000 0.5000 0.5000
Se1 0.2468 0.2468 0.2468
Se2 0.7532 0.7532 0.7532

Top 10 peaks for 2θ = 10–90°, in order of falling intensity:
| 2θ/deg | I_rel |
| --- | --- |
| 30.62 | 100 |
| 43.51 | 37 |
| 44.18 | 36 |
| 54.71 | 19 |
| 71.88 | 16 |
| 72.85 | 16 |
| 80.82 | 12 |
| 63.75 | 12 |
| 53.56 | 7 |
| 79.41 | 6 |

=====

# MoS2
Theoretical powder diffractogram, λ = 1.5418 Å (Cu Kα). Input: a crystal structure in the Materials Project, relaxed with PBE.
Kinematic intensities with the Lorentz-polarization factor, no thermal factor.

Structural model:
Cell lengths 3.1903, 3.1903, 14.8790 Å; angles 90.00, 90.00, 120.00 degrees
Fractional coordinates of all 6 atoms:
Mo1 0.3333 0.6667 0.2500
Mo2 0.6667 0.3333 0.7500
S1 0.3333 0.6667 0.6448
S2 0.3333 0.6667 0.8552
S3 0.6667 0.3333 0.1448
S4 0.6667 0.3333 0.3552

Top 10 peaks for 2θ = 10–90°, in order of falling intensity:
| 2θ/deg | I_rel |
| --- | --- |
| 11.90 | 100 |
| 37.25 | 31 |
| 44.76 | 31 |
| 32.40 | 14 |
| 34.63 | 11 |
| 57.80 | 9 |
| 59.24 | 9 |
| 54.46 | 7 |
| 75.94 | 6 |
| 32.97 | 6 |

=====

# PrMgTl
Theoretical powder diffractogram, λ = 1.5418 Å (Cu Kα). Input: a crystal structure in the Materials Project, relaxed with PBE.
Kinematic intensities with the Lorentz-polarization factor, no thermal factor.

Structural model:
Cell lengths 7.8017, 7.8017, 4.7974 Å; angles 90.00, 90.00, 120.00 degrees
Fractional coordinates of all 9 atoms:
Pr1 0.0000 0.5751 0.0000
Pr2 0.4249 0.4249 0.0000
Pr3 0.5751 0.0000 0.0000
Mg1 0.0000 0.2436 0.5000
Mg2 0.2436 0.0000 0.5000
Mg3 0.7564 0.7564 0.5000
Tl1 0.0000 0.0000 0.0000
Tl2 0.3333 0.6667 0.5000
Tl3 0.6667 0.3333 0.5000

Top 10 peaks for 2θ = 10–90°, in order of falling intensity:
| 2θ/deg | I_rel |
| --- | --- |
| 32.41 | 100 |
| 22.77 | 75 |
| 40.01 | 59 |
| 29.51 | 49 |
| 63.00 | 28 |
| 37.49 | 25 |
| 52.39 | 21 |
| 56.01 | 21 |
| 46.56 | 17 |
| 44.33 | 16 |